[1]
Diffraction record for Na2PuGaCl6. The powder diffractogram is theoretical, not measured: it uses a crystal structure in Alexandria, relaxed with PBE and a wavelength of 1.5418 Å.
No peak broadening, texture or thermal motion is included.

Structural model:
Unit cell a=7.1569 b=7.1569 c=19.7148 alpha=90.00 beta=90.00 gamma=120.00
Space group R3 (No. 146, hexagonal axes)
Symmetry-distinct sites (fractional):
Na 0.0000 0.0000 0.0000 [3 per cell]
Na 0.0000 0.0000 0.4901 [3 per cell]
Pu 0.0000 0.0000 0.6866 [3 per cell]
Ga 0.0000 0.0000 0.1981 [3 per cell]
Cl 0.0198 0.3368 0.7575 [9 per cell]
Cl 0.0214 0.7200 0.5962 [9 per cell]

Principal peaks in the range 2θ from 10° to 90°, by intensity:
d [Å]  2θ (°)  I/Imax  h k l
5.247  16.90  100.0  0 1 2
2.420  37.15  65.8  2 -1 6
3.858  23.06  55.0  1 0 4
5.913  14.98  50.4  1 0 1
3.143  28.40  43.1  2 -1 3
2.066  43.82  32.4  3 0 0

***

[2]
Diffraction record for BaAlGa2Ag4. The powder diffractogram is theoretical, not measured: it uses a crystal structure in Alexandria, relaxed with PBE and a wavelength of 1.5418 Å.
No peak broadening, texture or thermal motion is included.

Structural model:
Unit cell a=4.5568 b=4.5568 c=29.4558 alpha=90.00 beta=90.00 gamma=120.00
Space group R-3m (No. 166, hexagonal axes)
Symmetry-distinct sites (fractional):
Ba 0.0000 0.0000 0.0000 [3 per cell]
Al 0.0000 0.0000 0.5000 [3 per cell]
Ga 0.0000 0.0000 0.2453 [6 per cell]
Ag 0.0000 0.0000 0.1396 [6 per cell]
Ag 0.0000 0.0000 0.4120 [6 per cell]

Principal peaks in the range 2θ from 10° to 90°, by intensity:
d [Å]  2θ (°)  I/Imax  h k l
2.278  39.55  100.0  1 1 0
2.879  31.07  73.9  1 0 7
2.692  33.28  46.4  0 1 8
3.279  27.20  34.1  0 1 5
2.216  40.71  25.8  0 1 11
1.670  54.99  22.6  1 1 12

***

[3]
Diffraction record for UNCl3. The powder diffractogram is theoretical, not measured: it uses a crystal structure in Alexandria, relaxed with PBE and a wavelength of 1.5418 Å.
No peak broadening, texture or thermal motion is included.

Structural model:
Unit cell a=5.882 b=5.883 c=10.071 alpha=84.08 beta=84.23 gamma=69.69
Space group P1 (No. 1)
Symmetry-distinct sites (fractional):
U 0.000 0.000 0.000 [1 per cell]
U 0.500 0.500 0.000 [1 per cell]
N 0.055 0.554 0.565 [1 per cell]
N 0.446 0.947 0.435 [1 per cell]
Cl 0.010 0.510 0.925 [1 per cell]
Cl 0.160 0.659 0.207 [1 per cell]
Cl 0.340 0.841 0.793 [1 per cell]
Cl 0.490 0.990 0.075 [1 per cell]
Cl 0.712 0.214 0.793 [1 per cell]
Cl 0.788 0.286 0.207 [1 per cell]

Principal peaks in the range 2θ from 10° to 90°, by intensity:
d [Å]  2θ (°)  I/Imax  h k l
4.790  18.52  100.0  1 1 0
4.545  19.53  89.9  1 1 1
2.340  38.47  80.0  2 0 -2
4.996  17.75  79.4  0 0 2
2.789  32.09  69.1  1 -1 2
2.486  36.13  60.9  2 0 2